(1)
Starting from DFT lattice parameters and positions (PBE), the powder X-ray diffraction pattern of DyHoCd6 was calculated for Cu Kα (λ = 1.5418 Å).
Peak positions follow from Bragg's law for the DFT cell and can differ from measured ones.

Most intense lines, 2θ = 5–70°, by intensity:
| two_theta | d [Å] | I (rel.) | hkl |
| --- | --- | --- | --- |
| 35.56 | 2.525 | 100 | 2 0 0 |
| 63.80 | 1.459 | 23 | 3 2 1 |
| 51.08 | 1.788 | 12 | 2 0 2 |
| 63.97 | 1.455 | 12 | 2 4 0 |
| 51.34 | 1.780 | 6 | 0 4 0 |
| 21.55 | 4.123 | 2 | 1 1 0 |
| 41.91 | 2.156 | 1 | 2 1 1 |
| 24.90 | 3.576 | 1 | 1 0 1 |

Atomic structure:
Unit cell a=5.057 b=7.119 c=5.058 alpha=90.00 beta=90.00 gamma=90.00
Space group Pmm2 (No. 25)
Unique sites:
Dy 0.000 0.000 0.000 [1 per cell]
Ho 0.500 0.500 0.509 [1 per cell]
Cd 0.000 0.250 0.499 [2 per cell]
Cd 0.000 0.500 0.000 [1 per cell]
Cd 0.500 0.000 0.509 [1 per cell]
Cd 0.500 0.250 0.010 [2 per cell]



(2)
Starting from DFT lattice parameters and positions (PBE), the powder X-ray diffraction pattern of DyHo2Cd5 was calculated for Cu Kα (λ = 1.5418 Å).
Peak positions follow from Bragg's law for the DFT cell and can differ from measured ones.

Most intense lines, 2θ = 5–70°, by intensity:
| two_theta | d [Å] | I (rel.) | hkl |
| --- | --- | --- | --- |
| 34.72 | 2.584 | 100 | 1 2 2 |
| 35.24 | 2.547 | 26 | 2 0 0 |
| 34.29 | 2.615 | 22 | 0 0 4 |
| 62.91 | 1.477 | 17 | 3 2 2 |
| 49.99 | 1.825 | 15 | 2 0 4 |
| 61.68 | 1.504 | 12 | 1 2 6 |
| 49.84 | 1.829 | 9 | 0 4 0 |
| 62.51 | 1.486 | 9 | 2 4 0 |
| 61.90 | 1.499 | 7 | 0 4 4 |
| 38.70 | 2.326 | 4 | 1 0 4 |

Atomic structure:
Unit cell a=5.094 b=7.318 c=10.461 alpha=90.00 beta=90.00 gamma=90.00
Space group Amm2 (No. 38)
Unique sites:
Dy 0.000 0.000 0.000 [2 per cell]
Ho 0.000 0.000 0.543 [2 per cell]
Ho 0.500 0.000 0.243 [2 per cell]
Cd 0.000 0.232 0.275 [4 per cell]
Cd 0.500 0.000 0.757 [2 per cell]
Cd 0.500 0.240 0.494 [4 per cell]